# Ho3TlPb2
Computed PXRD pattern, Cu Kα X-rays. Input: a crystal structure in Alexandria, relaxed with GGA-PBE.
Intensities are scaled so that the largest is 100.

Atomic structure:
a = 6.367 Å, b = 6.474 Å, c = 8.716 Å
α = 100.13°, β = 106.97°, γ = 91.49°
Positions (direct):
Ho1 0.064 0.092 0.334
Ho2 0.292 0.594 0.336
Ho3 0.382 0.248 0.004
Ho4 0.618 0.752 0.996
Ho5 0.708 0.406 0.664
Ho6 0.936 0.908 0.666
Tl1 0.111 0.730 0.990
Tl2 0.889 0.270 0.010
Pb1 0.218 0.426 0.675
Pb2 0.432 0.929 0.668
Pb3 0.568 0.071 0.332
Pb4 0.782 0.574 0.325

Principal peaks in the range 5 to 70 degrees two-theta, in order of falling intensity:
two_theta  I (rel.)  (hkl)
32.16  100  0 2 -2
32.84  48  0 0 3
31.65  33  2 1 -1
34.85  23  -2 1 2
35.53  20  2 -1 1
31.36  19  -2 1 1
58.13  17  0 2 4
33.76  15  2 1 0
45.76  11  2 1 -4
38.34  11  2 1 -3
56.91  10  0 4 -1
58.26  9  0 2 -5